[1]
Theoretical powder X-ray diffraction pattern of LiMn2B2O6 for Cu Ka, from a cell relaxed with PBE+U.
Peak positions follow from Bragg's law for the DFT cell and can differ from measured ones.

Atomic structure:
```
data_LiMn2B2O6
_space_group_name_H-M_alt 'C 1 c 1'
_space_group_IT_number 9
_space_group_name_Hall 'C -2yc'
_cell_length_a 5.364
_cell_length_b 8.995
_cell_length_c 10.592
_cell_angle_alpha 90.00
_cell_angle_beta 91.04
_cell_angle_gamma 90.00
loop_
_atom_site_label
_atom_site_type_symbol
_atom_site_fract_x
_atom_site_fract_y
_atom_site_fract_z
Li1 Li 0.000 0.031 0.000
Mn1 Mn 0.121 0.318 0.615
Mn2 Mn 0.358 0.155 0.854
B1 B 0.151 0.323 0.109
B2 B 0.329 0.188 0.370
O1 O 0.033 0.284 0.793
O2 O 0.222 0.055 0.384
O3 O 0.236 0.314 0.436
O4 O 0.251 0.460 0.109
O5 O 0.271 0.199 0.053
O6 O 0.424 0.207 0.666
```

Top 10 peaks for 5 to 70 degrees two-theta, most intense first:
2θ 19.74, d 4.497, I = 100; 2θ 20.91, d 4.248, I = 78; 2θ 25.83, d 3.449, I = 78; 2θ 34.27, d 2.617, I = 67; 2θ 33.86, d 2.647, I = 63; 2θ 21.47, d 4.140, I = 60; 2θ 19.27, d 4.606, I = 44; 2θ 46.94, d 1.936, I = 41; 2θ 37.89, d 2.375, I = 40; 2θ 25.43, d 3.502, I = 38



[2]
Theoretical powder X-ray diffraction pattern of Li5Mn6B6O18 for Cu Ka, from a cell relaxed with PBE+U.
Peak positions follow from Bragg's law for the DFT cell and can differ from measured ones.

Atomic structure:
```
data_Li5Mn6B6O18
_space_group_name_H-M_alt 'P 1'
_space_group_IT_number 1
_space_group_name_Hall 'P 1'
_cell_length_a 5.215
_cell_length_b 6.205
_cell_length_c 12.011
_cell_angle_alpha 84.79
_cell_angle_beta 78.48
_cell_angle_gamma 87.20
loop_
_atom_site_label
_atom_site_type_symbol
_atom_site_fract_x
_atom_site_fract_y
_atom_site_fract_z
Li1 Li 0.000 0.000 0.000
Li2 Li 0.067 0.835 0.204
Li3 Li 0.336 0.326 0.335
Li4 Li 0.412 0.166 0.536
Li5 Li 0.731 0.521 0.860
Mn1 Mn 0.108 0.833 0.763
Mn2 Mn 0.308 0.326 0.766
Mn3 Mn 0.435 0.178 0.101
Mn4 Mn 0.631 0.662 0.104
Mn5 Mn 0.772 0.511 0.441
Mn6 Mn 0.967 0.995 0.439
B1 B 0.193 0.566 0.987
B2 B 0.214 0.582 0.548
B3 B 0.521 0.894 0.325
B4 B 0.554 0.947 0.881
B5 B 0.856 0.228 0.660
B6 B 0.878 0.267 0.217
O1 O 0.026 0.147 0.135
O2 O 0.043 0.687 0.069
O3 O 0.103 0.528 0.889
O4 O 0.113 0.151 0.667
O5 O 0.273 0.592 0.657
O6 O 0.301 0.033 0.865
O7 O 0.373 0.468 0.467
O8 O 0.379 0.018 0.407
O9 O 0.426 0.858 0.228
O10 O 0.443 0.489 0.999
O11 O 0.629 0.347 0.205
O12 O 0.631 0.974 0.984
O13 O 0.701 0.827 0.801
O14 O 0.702 0.319 0.750
O15 O 0.772 0.813 0.336
O16 O 0.773 0.209 0.558
O17 O 0.970 0.303 0.316
O18 O 0.987 0.685 0.527
```

Top 10 peaks for 5 to 70 degrees two-theta, most intense first:
2θ 33.92, d 2.643, I = 100; 2θ 20.28, d 4.379, I = 69; 2θ 22.74, d 3.910, I = 55; 2θ 21.95, d 4.049, I = 35; 2θ 40.64, d 2.220, I = 29; 2θ 34.11, d 2.628, I = 26; 2θ 39.79, d 2.266, I = 22; 2θ 34.44, d 2.604, I = 19; 2θ 20.70, d 4.291, I = 19; 2θ 37.69, d 2.387, I = 19



[3]
Theoretical powder X-ray diffraction pattern of LiMn2B2O6 for Cu Ka, from a cell relaxed with PBE+U.
Peak positions follow from Bragg's law for the DFT cell and can differ from measured ones.

Atomic structure:
```
data_LiMn2B2O6
_space_group_name_H-M_alt 'P -1'
_space_group_IT_number 2
_space_group_name_Hall '-P 1'
_cell_length_a 5.819
_cell_length_b 9.230
_cell_length_c 9.874
_cell_angle_alpha 80.33
_cell_angle_beta 80.64
_cell_angle_gamma 75.42
loop_
_atom_site_label
_atom_site_type_symbol
_atom_site_fract_x
_atom_site_fract_y
_atom_site_fract_z
Li1 Li 0.057 0.309 0.134
Li2 Li 0.215 0.193 0.615
Mn1 Mn 0.120 0.643 0.125
Mn2 Mn 0.155 0.870 0.604
Mn3 Mn 0.376 0.099 0.876
Mn4 Mn 0.389 0.409 0.362
B1 B 0.096 0.973 0.149
B2 B 0.136 0.528 0.619
B3 B 0.345 0.443 0.893
B4 B 0.384 0.055 0.373
O1 O 0.021 0.105 0.201
O2 O 0.031 0.143 0.814
O3 O 0.070 0.447 0.282
O4 O 0.176 0.073 0.472
O5 O 0.209 0.400 0.559
O6 O 0.233 0.321 0.929
O7 O 0.247 0.579 0.939
O8 O 0.269 0.640 0.591
O9 O 0.301 0.946 0.051
O10 O 0.445 0.575 0.202
O11 O 0.475 0.922 0.321
O12 O 0.499 0.827 0.652
```

Top 10 peaks for 5 to 70 degrees two-theta, most intense first:
2θ 19.74, d 4.498, I = 100; 2θ 22.54, d 3.945, I = 83; 2θ 35.03, d 2.562, I = 80; 2θ 22.11, d 4.020, I = 65; 2θ 39.66, d 2.273, I = 40; 2θ 33.41, d 2.682, I = 37; 2θ 37.25, d 2.414, I = 30; 2θ 20.64, d 4.304, I = 28; 2θ 20.06, d 4.427, I = 27; 2θ 40.77, d 2.213, I = 25



[4]
Theoretical powder X-ray diffraction pattern of LiMn2B2O6 for Cu Ka, from a cell relaxed with PBE+U.
Peak positions follow from Bragg's law for the DFT cell and can differ from measured ones.

Atomic structure:
```
data_LiMn2B2O6
_space_group_name_H-M_alt 'P 1'
_space_group_IT_number 1
_space_group_name_Hall 'P 1'
_cell_length_a 5.309
_cell_length_b 5.805
_cell_length_c 12.441
_cell_angle_alpha 92.60
_cell_angle_beta 102.30
_cell_angle_gamma 90.40
loop_
_atom_site_label
_atom_site_type_symbol
_atom_site_fract_x
_atom_site_fract_y
_atom_site_fract_z
Li1 Li 0.000 0.000 0.000
Li2 Li 0.150 0.710 0.645
Li3 Li 0.478 0.047 0.311
Mn1 Mn 0.188 0.502 0.435
Mn2 Mn 0.305 0.543 0.882
Mn3 Mn 0.540 0.811 0.112
Mn4 Mn 0.624 0.895 0.542
Mn5 Mn 0.849 0.177 0.771
Mn6 Mn 0.951 0.227 0.206
B1 B 0.047 0.005 0.431
B2 B 0.095 0.724 0.216
B3 B 0.387 0.322 0.102
B4 B 0.432 0.046 0.892
B5 B 0.719 0.671 0.762
B6 B 0.757 0.397 0.552
O1 O 0.014 0.424 0.562
O2 O 0.124 0.292 0.086
O3 O 0.155 0.149 0.363
O4 O 0.213 0.868 0.502
O5 O 0.260 0.211 0.842
O6 O 0.317 0.873 0.945
O7 O 0.354 0.749 0.234
O8 O 0.458 0.654 0.758
O9 O 0.484 0.478 0.039
O10 O 0.554 0.186 0.174
O11 O 0.582 0.560 0.502
O12 O 0.653 0.215 0.601
O13 O 0.688 0.054 0.897
O14 O 0.784 0.994 0.419
O15 O 0.816 0.830 0.697
O16 O 0.898 0.528 0.822
O17 O 0.933 0.886 0.153
O18 O 0.979 0.549 0.264
```

Top 10 peaks for 5 to 70 degrees two-theta, most intense first:
2θ 20.00, d 4.439, I = 100; 2θ 34.93, d 2.569, I = 64; 2θ 22.81, d 3.899, I = 64; 2θ 21.96, d 4.047, I = 50; 2θ 37.39, d 2.405, I = 34; 2θ 33.76, d 2.655, I = 33; 2θ 40.64, d 2.220, I = 30; 2θ 52.93, d 1.730, I = 29; 2θ 20.67, d 4.297, I = 22; 2θ 33.91, d 2.643, I = 20



What is the formula in the third record?
LiMn2B2O6



What is the formula in the first record?
LiMn2B2O6